Entry 1:
Diffraction record for Ho2ScSe3. The powder diffractogram is computed, not measured: it uses a structure optimized by DFT (PBE) and Cu Kα.
Peak positions follow from Bragg's law for the DFT cell and can differ from measured ones.

The 12 most intense peaks (2θ from 10° to 90°), most intense first:
2θ (°), d [Å], I_rel
31.6, 2.828, 100
45.4, 1.999, 60
75.1, 1.265, 21
56.3, 1.635, 13
45.2, 2.005, 12
56.4, 1.631, 12
83.9, 1.153, 12
66.1, 1.414, 12
27.3, 3.266, 9
83.6, 1.157, 8
17.3, 5.113, 8
31.2, 2.870, 8

Structural model:
Cell lengths 6.9191, 6.9191, 6.9191 Å; angles 146.31, 131.76, 60.12 degrees
Fractional coordinates of all 6 atoms:
Ho 0.1706 0.1706 0.0000
Ho 0.8294 0.8294 0.0000
Sc 0.5000 0.5000 0.0000
Se 0.0000 0.5000 0.5000
Se 0.3411 0.8411 0.5000
Se 0.6589 0.1589 0.5000

=====

Entry 2:
Diffraction record for LiMg2Cd3. The powder diffractogram is computed, not measured: it uses a structure optimized by DFT (PBE) and Cu Kα.
Peak positions follow from Bragg's law for the DFT cell and can differ from measured ones.

The 12 most intense peaks (2θ from 10° to 90°), most intense first:
2θ (°), d [Å], I_rel
37.3, 2.412, 100
25.3, 3.518, 73
26.9, 3.314, 31
36.0, 2.494, 28
36.2, 2.480, 27
52.0, 1.759, 19
65.6, 1.424, 18
65.8, 1.419, 17
45.5, 1.993, 14
45.7, 1.986, 14
59.5, 1.554, 12
61.9, 1.499, 10

Structural model:
Cell lengths 7.8480, 7.8480, 6.6278 Å; angles 90.00, 90.00, 142.93 degrees
Fractional coordinates of all 12 atoms:
Li 0.1631 0.8369 0.0000
Li 0.8369 0.1631 0.0000
Mg 0.1657 0.8343 0.5000
Mg 0.5000 0.5000 0.0000
Mg 0.5000 0.5000 0.5000
Mg 0.8343 0.1657 0.5000
Cd 0.0000 0.0000 0.2432
Cd 0.0000 0.0000 0.7568
Cd 0.3284 0.6716 0.2353
Cd 0.3284 0.6716 0.7647
Cd 0.6716 0.3284 0.2353
Cd 0.6716 0.3284 0.7647